# Tm4BiAu
Calculated XRD peak list, λ = 1.5418 Å (Cu Kα). Input: DFT lattice parameters and positions (PBE).
Lines closer than 0.1° are merged.

The 8 most intense peaks (2θ = 5–70°), by intensity:
| d/Å | two_theta | Rel. int. |
| --- | --- | --- |
| 2.915 | 30.7 | 100.0 |
| 2.646 | 33.9 | 81.5 |
| 2.808 | 31.9 | 51.2 |
| 2.025 | 44.8 | 40.1 |
| 2.737 | 32.7 | 37.7 |
| 2.325 | 38.7 | 37.3 |
| 2.404 | 37.4 | 36.3 |
| 2.434 | 36.9 | 32.6 |

Structural model:
```
Tm4BiAu
1.0
8.292 0.000 0.000
0.000 4.050 0.000
0.000 0.000 19.476
Tm Bi Au
16 4 4
Direct
0.015 0.250 0.067 Tm
0.044 0.750 0.213 Tm
0.136 0.750 0.656 Tm
0.143 0.750 0.446 Tm
0.357 0.250 0.946 Tm
0.364 0.250 0.156 Tm
0.456 0.250 0.713 Tm
0.485 0.750 0.567 Tm
0.515 0.250 0.433 Tm
0.544 0.750 0.287 Tm
0.636 0.750 0.844 Tm
0.643 0.750 0.054 Tm
0.857 0.250 0.554 Tm
0.864 0.250 0.344 Tm
0.956 0.250 0.787 Tm
0.985 0.750 0.933 Tm
0.242 0.250 0.315 Bi
0.258 0.750 0.815 Bi
0.742 0.250 0.185 Bi
0.758 0.750 0.685 Bi
0.228 0.250 0.554 Au
0.272 0.750 0.054 Au
0.728 0.250 0.946 Au
0.772 0.750 0.446 Au
```

=====

# Y4BiAu
Calculated XRD peak list, λ = 1.5418 Å (Cu Kα). Input: DFT lattice parameters and positions (PBE).
Lines closer than 0.1° are merged.

The 8 most intense peaks (2θ = 5–70°), by intensity:
| d/Å | two_theta | Rel. int. |
| --- | --- | --- |
| 2.691 | 33.3 | 100.0 |
| 2.959 | 30.2 | 77.7 |
| 4.244 | 20.9 | 69.6 |
| 2.847 | 31.4 | 68.3 |
| 2.441 | 36.8 | 62.1 |
| 2.360 | 38.1 | 57.7 |
| 2.066 | 43.8 | 44.8 |
| 3.647 | 24.4 | 39.2 |

Structural model:
```
Y4BiAu
1.0
8.441 0.000 0.000
0.000 4.132 0.000
0.000 0.000 19.641
Y Bi Au
16 4 4
Direct
0.010 0.250 0.069 Y
0.027 0.250 0.785 Y
0.131 0.250 0.556 Y
0.151 0.250 0.349 Y
0.349 0.750 0.849 Y
0.369 0.750 0.056 Y
0.473 0.750 0.285 Y
0.490 0.750 0.569 Y
0.510 0.250 0.431 Y
0.527 0.250 0.715 Y
0.631 0.250 0.944 Y
0.651 0.250 0.151 Y
0.849 0.750 0.651 Y
0.869 0.750 0.444 Y
0.973 0.750 0.215 Y
0.990 0.750 0.931 Y
0.226 0.750 0.688 Bi
0.274 0.250 0.188 Bi
0.726 0.750 0.812 Bi
0.774 0.250 0.312 Bi
0.249 0.250 0.948 Au
0.251 0.750 0.448 Au
0.749 0.250 0.552 Au
0.751 0.750 0.052 Au
```